Starting from the GGA-PBE geometry in Alexandria, the powder XRD pattern of Ac2InPd5 was computed for a wavelength of 1.5418 Å.

Most intense lines, 15 to 90 degrees two-theta, most intense first:
d (Å)  I_rel
2.608  100
3.157  54
2.315  53
1.578  28
2.158  22
1.387  19
1.867  17
1.637  15

Crystal structure
Cell lengths 6.5478, 6.5478, 8.6312 Å; angles 90.00, 90.00, 90.00 degrees
Fractional positions:
Ac1 0.0000 0.5000 0.0000
Ac2 0.0000 0.5000 0.5000
Ac3 0.5000 0.0000 0.0000
Ac4 0.5000 0.0000 0.5000
In1 0.0000 0.0000 0.2155
In2 0.5000 0.5000 0.7155
Pd1 0.0000 0.0000 0.5282
Pd2 0.2135 0.2135 0.7573
Pd3 0.2135 0.7865 0.7573
Pd4 0.2865 0.2865 0.2573
Pd5 0.2865 0.7135 0.2573
Pd6 0.5000 0.5000 0.0282
Pd7 0.7135 0.2865 0.2573
Pd8 0.7135 0.7135 0.2573
Pd9 0.7865 0.2135 0.7573
Pd10 0.7865 0.7865 0.7573

=====

Starting from the GGA-PBE geometry in Alexandria, the powder XRD pattern of Ac2In5Pd4 was computed for a wavelength of 1.5418 Å.

Most intense lines, 15 to 90 degrees two-theta, most intense first:
d (Å)  I_rel
2.634  100
2.465  99
3.308  60
2.582  58
2.173  47
2.915  46
2.253  37
1.662  30

Crystal structure
Cell lengths 10.0786, 9.1928, 5.9149 Å; angles 80.52, 64.11, 35.37 degrees
Fractional positions:
Ac1 0.1306 0.1306 0.8694
Ac2 0.8694 0.8694 0.1306
In1 0.0000 0.0000 0.5000
In2 0.2500 0.2500 0.2500
In3 0.5000 0.5000 0.0000
In4 0.5000 0.5000 0.5000
In5 0.7500 0.7500 0.7500
Pd1 0.2159 0.5214 0.4786
Pd2 0.4786 0.7841 0.2159
Pd3 0.5214 0.2159 0.7841
Pd4 0.7841 0.4786 0.5214

=====

Starting from the GGA-PBE geometry in Alexandria, the powder XRD pattern of Ac2InPd4 was computed for a wavelength of 1.5418 Å.

Most intense lines, 15 to 90 degrees two-theta, most intense first:
d (Å)  I_rel
2.413  100
2.463  82
2.757  82
2.312  61
2.575  34
3.329  33
2.834  27
1.475  24

Crystal structure
Cell lengths 10.9678, 4.6234, 6.9118 Å; angles 90.00, 110.09, 90.00 degrees
Fractional positions:
Ac1 0.1496 0.0000 0.2384
Ac2 0.3504 0.5000 0.7616
Ac3 0.6496 0.5000 0.2384
Ac4 0.8504 0.0000 0.7616
In1 0.0000 0.5000 0.5000
In2 0.5000 0.0000 0.5000
Pd1 0.1055 0.5000 0.9249
Pd2 0.1393 0.0000 0.7000
Pd3 0.3607 0.5000 0.3000
Pd4 0.3945 0.0000 0.0751
Pd5 0.6055 0.0000 0.9249
Pd6 0.6393 0.5000 0.7000
Pd7 0.8607 0.0000 0.3000
Pd8 0.8945 0.5000 0.0751

=====

Starting from the GGA-PBE geometry in Alexandria, the powder XRD pattern of Ac3In2Pd6 was computed for a wavelength of 1.5418 Å.

Most intense lines, 15 to 90 degrees two-theta, most intense first:
d (Å)  I_rel
2.375  100
2.909  35
1.371  31
3.187  29
2.693  23
2.519  21
1.519  18
1.635  15

Crystal structure
Cell lengths 8.7275, 8.7275, 8.7275 Å; angles 109.47, 109.47, 109.47 degrees
Fractional positions:
Ac1 0.0000 0.2944 0.2944
Ac2 0.0000 0.7056 0.7056
Ac3 0.2944 0.0000 0.2944
Ac4 0.2944 0.2944 0.0000
Ac5 0.7056 0.0000 0.7056
Ac6 0.7056 0.7056 0.0000
In1 0.0000 0.0000 0.5000
In2 0.0000 0.5000 0.0000
In3 0.5000 0.0000 0.0000
In4 0.5000 0.5000 0.5000
Pd1 0.0000 0.3386 0.6614
Pd2 0.0000 0.6614 0.3386
Pd3 0.3229 0.6614 0.6614
Pd4 0.3386 0.0000 0.6614
Pd5 0.3386 0.3386 0.6771
Pd6 0.3386 0.6614 0.0000
Pd7 0.3386 0.6771 0.3386
Pd8 0.6614 0.0000 0.3386
Pd9 0.6614 0.3229 0.6614
Pd10 0.6614 0.3386 0.0000
Pd11 0.6614 0.6614 0.3229
Pd12 0.6771 0.3386 0.3386

=====

Starting from the GGA-PBE geometry in Alexandria, the powder XRD pattern of Ac3In5Pd6 was computed for a wavelength of 1.5418 Å.

Most intense lines, 15 to 90 degrees two-theta, most intense first:
d (Å)  I_rel
2.756  100
2.401  87
2.707  50
2.673  47
3.329  44
2.158  31
1.786  29
2.521  27

Crystal structure
Cell lengths 8.8273, 8.8273, 8.8273 Å; angles 148.43, 112.32, 76.60 degrees
Fractional positions:
Ac1 0.0000 0.0000 0.0000
Ac2 0.3205 0.3205 0.0000
Ac3 0.6795 0.6795 0.0000
In1 0.0222 0.6774 0.3449
In2 0.3325 0.6774 0.6551
In3 0.5000 0.0000 0.5000
In4 0.6675 0.3226 0.3449
In5 0.9778 0.3226 0.6551
Pd1 0.1545 0.8822 0.2723
Pd2 0.2972 0.5000 0.7972
Pd3 0.3901 0.1178 0.2723
Pd4 0.6099 0.8822 0.7277
Pd5 0.7028 0.5000 0.2028
Pd6 0.8455 0.1178 0.7277

=====

Starting from the GGA-PBE geometry in Alexandria, the powder XRD pattern of Ac2In3Pd5 was computed for a wavelength of 1.5418 Å.

Most intense lines, 15 to 90 degrees two-theta, most intense first:
d (Å)  I_rel
2.544  100
2.744  77
2.722  57
2.225  50
2.491  31
1.393  23
2.310  19
1.676  19

Crystal structure
Cell lengths 13.7104, 13.7104, 7.5584 Å; angles 90.00, 90.00, 161.32 degrees
Fractional positions:
Ac1 0.0195 0.9805 0.5000
Ac2 0.3187 0.6813 0.6181
Ac3 0.6813 0.3187 0.1181
Ac4 0.9805 0.0195 0.0000
In1 0.1244 0.8756 0.7525
In2 0.2866 0.7134 0.1471
In3 0.4422 0.5578 0.6766
In4 0.5578 0.4422 0.1766
In5 0.7134 0.2866 0.6471
In6 0.8756 0.1244 0.2525
Pd1 0.1094 0.8906 0.2722
Pd2 0.2052 0.7948 0.4238
Pd3 0.2231 0.7769 0.8571
Pd4 0.3817 0.6183 0.0064
Pd5 0.4514 0.5486 0.2957
Pd6 0.5486 0.4514 0.7957
Pd7 0.6183 0.3817 0.5064
Pd8 0.7769 0.2231 0.3571
Pd9 0.7948 0.2052 0.9238
Pd10 0.8906 0.1094 0.7722

=====

Starting from the GGA-PBE geometry in Alexandria, the powder XRD pattern of Ac3InPd3 was computed for a wavelength of 1.5418 Å.

Most intense lines, 15 to 90 degrees two-theta, most intense first:
d (Å)  I_rel
3.046  100
2.685  81
2.014  73
4.651  47
3.697  32
2.154  32
1.362  25
1.523  23

Crystal structure
Cell lengths 9.3024, 9.3024, 6.0930 Å; angles 90.00, 90.00, 120.00 degrees
Fractional positions:
Ac1 0.0520 0.6949 0.2500
Ac2 0.3051 0.3570 0.2500
Ac3 0.3570 0.0520 0.7500
Ac4 0.6430 0.9480 0.2500
Ac5 0.6949 0.6430 0.7500
Ac6 0.9480 0.3051 0.7500
In1 0.3333 0.6667 0.7500
In2 0.6667 0.3333 0.2500
Pd1 0.0499 0.6851 0.7500
Pd2 0.3149 0.3648 0.7500
Pd3 0.3648 0.0499 0.2500
Pd4 0.6352 0.9501 0.7500
Pd5 0.6851 0.6352 0.2500
Pd6 0.9501 0.3149 0.2500

=====

Starting from the GGA-PBE geometry in Alexandria, the powder XRD pattern of Ac2In3Pd5 was computed for a wavelength of 1.5418 Å.

Most intense lines, 15 to 90 degrees two-theta, most intense first:
d (Å)  I_rel
2.886  100
2.723  91
2.269  89
2.852  81
2.512  25
3.312  24
2.806  23
1.751  23

Crystal structure
Cell lengths 9.2224, 9.2224, 9.2224 Å; angles 105.05, 88.19, 140.53 degrees
Fractional positions:
Ac1 0.1278 0.2362 0.3640
Ac2 0.3722 0.7362 0.1085
Ac3 0.6278 0.2638 0.8915
Ac4 0.8722 0.7638 0.6360
In1 0.1458 0.9083 0.0541
In2 0.2500 0.7500 0.5000
In3 0.3542 0.4083 0.7625
In4 0.6458 0.5917 0.2375
In5 0.7500 0.2500 0.5000
In6 0.8542 0.0917 0.9459
Pd1 0.0434 0.7500 0.2934
Pd2 0.1059 0.6734 0.7793
Pd3 0.2500 0.2500 0.0000
Pd4 0.3941 0.1734 0.5675
Pd5 0.4566 0.7500 0.7066
Pd6 0.5434 0.2500 0.2934
Pd7 0.6059 0.8266 0.4325
Pd8 0.7500 0.7500 0.0000
Pd9 0.8941 0.3266 0.2207
Pd10 0.9566 0.2500 0.7066

=====

Starting from the GGA-PBE geometry in Alexandria, the powder XRD pattern of Ac2In5Pd3 was computed for a wavelength of 1.5418 Å.

Most intense lines, 15 to 90 degrees two-theta, most intense first:
d (Å)  I_rel
2.812  100
2.797  90
2.340  50
2.583  34
2.555  31
1.734  25
2.938  24
1.534  18

Crystal structure
Cell lengths 13.9263, 13.9263, 7.6227 Å; angles 90.00, 90.00, 160.65 degrees
Fractional positions:
Ac1 0.0246 0.9754 0.5000
Ac2 0.3246 0.6754 0.4266
Ac3 0.6754 0.3246 0.9266
Ac4 0.9754 0.0246 0.0000
In1 0.0985 0.9015 0.1224
In2 0.2059 0.7941 0.6159
In3 0.2096 0.7904 0.2222
In4 0.3727 0.6273 0.9678
In5 0.4469 0.5531 0.3327
In6 0.5531 0.4469 0.8327
In7 0.6273 0.3727 0.4678
In8 0.7904 0.2096 0.7222
In9 0.7941 0.2059 0.1159
In10 0.9015 0.0985 0.6224
Pd1 0.1096 0.8904 0.7434
Pd2 0.2706 0.7294 0.9163
Pd3 0.4523 0.5477 0.7132
Pd4 0.5477 0.4523 0.2132
Pd5 0.7294 0.2706 0.4163
Pd6 0.8904 0.1096 0.2434

=====

Starting from the GGA-PBE geometry in Alexandria, the powder XRD pattern of Ac4In2Pd was computed for a wavelength of 1.5418 Å.

Most intense lines, 15 to 90 degrees two-theta, most intense first:
d (Å)  I_rel
3.331  100
2.762  85
3.250  49
3.292  34
2.048  32
3.309  28
2.084  28
3.391  26

Crystal structure
Cell lengths 18.7565, 4.1671, 7.0538 Å; angles 90.00, 111.03, 90.00 degrees
Fractional positions:
Ac1 0.0876 0.0000 0.4341
Ac2 0.1262 0.5000 0.9761
Ac3 0.3738 0.0000 0.0239
Ac4 0.4124 0.5000 0.5659
Ac5 0.5876 0.5000 0.4341
Ac6 0.6262 0.0000 0.9761
Ac7 0.8738 0.5000 0.0239
Ac8 0.9124 0.0000 0.5659
In1 0.2415 0.5000 0.6589
In2 0.2585 0.0000 0.3411
In3 0.7415 0.0000 0.6589
In4 0.7585 0.5000 0.3411
Pd1 0.0000 0.0000 0.0000
Pd2 0.5000 0.5000 0.0000

=====

Starting from the GGA-PBE geometry in Alexandria, the powder XRD pattern of Ac3InPd12 was computed for a wavelength of 1.5418 Å.

Most intense lines, 15 to 90 degrees two-theta, most intense first:
d (Å)  I_rel
2.454  100
2.142  35
1.289  26
1.497  19
2.093  14
1.515  12
1.227  10
1.267  8

Crystal structure
Cell lengths 4.2837, 4.2837, 16.7436 Å; angles 90.00, 90.00, 90.00 degrees
Fractional positions:
Ac1 0.0000 0.0000 0.0000
Ac2 0.0000 0.0000 0.2602
Ac3 0.0000 0.0000 0.7398
In1 0.0000 0.0000 0.5000
Pd1 0.0000 0.5000 0.1295
Pd2 0.0000 0.5000 0.3899
Pd3 0.0000 0.5000 0.6101
Pd4 0.0000 0.5000 0.8705
Pd5 0.5000 0.0000 0.1295
Pd6 0.5000 0.0000 0.3899
Pd7 0.5000 0.0000 0.6101
Pd8 0.5000 0.0000 0.8705
Pd9 0.5000 0.5000 0.0000
Pd10 0.5000 0.5000 0.2597
Pd11 0.5000 0.5000 0.5000
Pd12 0.5000 0.5000 0.7403

=====

Starting from the GGA-PBE geometry in Alexandria, the powder XRD pattern of Ac4In5Pd6 was computed for a wavelength of 1.5418 Å.

Most intense lines, 15 to 90 degrees two-theta, most intense first:
d (Å)  I_rel
2.684  100
2.206  60
2.981  51
3.025  47
2.775  35
3.077  31
2.882  27
2.745  26

Crystal structure
Cell lengths 10.9586, 10.9586, 16.4710 Å; angles 90.00, 90.00, 156.78 degrees
Fractional positions:
Ac1 0.0077 0.9923 0.5000
Ac2 0.0360 0.9640 0.7605
Ac3 0.1588 0.8412 0.2860
Ac4 0.1853 0.8147 0.9277
Ac5 0.8147 0.1853 0.4277
Ac6 0.8412 0.1588 0.7860
Ac7 0.9640 0.0360 0.2605
Ac8 0.9923 0.0077 0.0000
In1 0.1553 0.8447 0.6121
In2 0.3029 0.6971 0.6009
In3 0.3366 0.6634 0.2571
In4 0.3601 0.6399 0.9639
In5 0.4443 0.5557 0.6580
In6 0.5557 0.4443 0.1580
In7 0.6399 0.3601 0.4639
In8 0.6634 0.3366 0.7571
In9 0.6971 0.3029 0.1009
In10 0.8447 0.1553 0.1121
Pd1 0.1169 0.8831 0.0983
Pd2 0.2180 0.7820 0.4686
Pd3 0.2373 0.7627 0.7452
Pd4 0.4230 0.5770 0.3915
Pd5 0.4254 0.5746 0.1178
Pd6 0.4466 0.5534 0.8366
Pd7 0.5534 0.4466 0.3366
Pd8 0.5746 0.4254 0.6178
Pd9 0.5770 0.4230 0.8915
Pd10 0.7627 0.2373 0.2452
Pd11 0.7820 0.2180 0.9686
Pd12 0.8831 0.1169 0.5983